Na3Ag: simulated X-ray diffraction stick pattern (Cu Ka), based on a cell relaxed with PBE.
Neutral-atom scattering factors, no anomalous dispersion.

Top 10 peaks for 2θ = 10–90°, sorted by position:
- hkl 1 0 0, d 5.946, rel. 34
- hkl 1 0 1, d 4.022, rel. 65
- hkl 1 1 0, d 3.433, rel. 32
- hkl 2 0 0, d 2.973, rel. 24
- hkl 0 0 2, d 2.731, rel. 25
- hkl 2 0 1, d 2.611, rel. 100
- hkl 2 1 1, d 2.078, rel. 26
- hkl 2 2 0, d 1.717, rel. 17
- hkl 2 0 3, d 1.553, rel. 18
- hkl 2 2 2, d 1.453, rel. 19

Cell and atoms:
```
data_Na3Ag
_symmetry_space_group_name_H-M 'P 63/m m c'
_symmetry_Int_Tables_number 194
_symmetry_space_group_name_Hall '-P 6c 2c'
_cell_length_a 6.8660
_cell_length_b 6.8660
_cell_length_c 5.4619
_cell_angle_alpha 90.00
_cell_angle_beta 90.00
_cell_angle_gamma 120.00
loop_
_atom_site_label
_atom_site_type_symbol
_atom_site_fract_x
_atom_site_fract_y
_atom_site_fract_z
Na1 Na 0.1741 0.3482 0.2500
Ag1 Ag 0.3333 0.6667 0.7500
```

Nd2Co17N2: simulated X-ray diffraction stick pattern (Cu Ka), based on a cell relaxed with PBE.
Neutral-atom scattering factors, no anomalous dispersion.

Top 10 peaks for 2θ = 10–90°, sorted by position:
- hkl 3 1 0, d 2.935, rel. 46
- hkl 1 3 1, d 2.470, rel. 72
- hkl 2 2 -2, d 2.355, rel. 45
- hkl 2 2 2, d 2.141, rel. 98
- hkl 0 4 0, d 2.136, rel. 49
- hkl 0 0 3, d 2.121, rel. 30
- hkl 1 3 -2, d 2.113, rel. 58
- hkl 3 3 0, d 2.103, rel. 100
- hkl 4 0 -2, d 2.027, rel. 84
- hkl 2 4 -1, d 1.888, rel. 27

Cell and atoms:
```
data_Nd2Co17N2
_symmetry_space_group_name_H-M 'C 1 2/m 1'
_symmetry_Int_Tables_number 12
_symmetry_space_group_name_Hall '-C 2y'
_cell_length_a 9.4546
_cell_length_b 8.5438
_cell_length_c 6.4272
_cell_angle_alpha 90.00
_cell_angle_beta 98.09
_cell_angle_gamma 90.00
loop_
_atom_site_label
_atom_site_type_symbol
_atom_site_fract_x
_atom_site_fract_y
_atom_site_fract_z
Nd1 Nd 0.1503 0.0000 0.3353
Co1 Co 0.0000 0.2187 0.0000
Co2 Co 0.0000 0.5000 0.5000
Co3 Co 0.0891 0.5000 0.8926
Co4 Co 0.1028 0.2608 0.6569
Co5 Co 0.1432 0.3602 0.2791
Co6 Co 0.1550 0.0000 0.8675
Co7 Co 0.2500 0.2500 0.0000
N1 N 0.2500 0.2500 0.5000
```

Th4Os: simulated X-ray diffraction stick pattern (Cu Ka), based on a cell relaxed with PBE.
Neutral-atom scattering factors, no anomalous dispersion.

Top 10 peaks for 2θ = 10–90°, sorted by position:
- hkl 2 2 0, d 3.945, rel. 14
- hkl 2 2 2, d 3.221, rel. 100
- hkl 4 0 0, d 2.789, rel. 31
- hkl 3 3 1, d 2.560, rel. 19
- hkl 5 1 1, d 2.147, rel. 19
- hkl 4 4 0, d 1.972, rel. 52
- hkl 6 2 2, d 1.682, rel. 39
- hkl 7 3 3, d 1.363, rel. 9
- hkl 6 6 2, d 1.280, rel. 13
- hkl 8 4 4, d 1.139, rel. 14

Cell and atoms:
Unit cell a=11.1574 b=11.1574 c=11.1574 alpha=90.00 beta=90.00 gamma=90.00
Space group Fd-3m (No. 227, origin choice 2)
Inequivalent atoms, fractional coordinates:
1 Th 0.0121 0.0121 0.2379
2 Os 0.1250 0.1250 0.6250